For LiCoH8C2O10, a PBE+U-relaxed structure gives the theoretical powder diffractogram in this record (Cu Kα (λ = 1.5418 Å)).
Neutral-atom scattering factors, no anomalous dispersion.

Structural model:
```
data_LiCoH8C2O10
_cell_length_a 7.7219
_cell_length_b 6.9824
_cell_length_c 18.2164
_cell_angle_alpha 90.00
_cell_angle_beta 95.82
_cell_angle_gamma 90.00
_space_group_name_H-M_alt 'C 1 c 1'
_space_group_IT_number 9
loop_
_space_group_symop_operation_xyz
'x,y,z'
'x,-y,z+1/2'
'x+1/2,y+1/2,z'
'x+1/2,-y+1/2,z+1/2'
loop_
_atom_site_label
_atom_site_type_symbol
_atom_site_fract_x
_atom_site_fract_y
_atom_site_fract_z
Li1 Li 0.0000 0.0586 0.0000
Co1 Co 0.0874 0.2825 0.7467
H1 H 0.0793 0.4039 0.9946
H2 H 0.1148 0.0215 0.3777
H3 H 0.2643 0.4846 0.5816
H4 H 0.2703 0.0157 0.1091
H5 H 0.2971 0.3081 0.0498
H6 H 0.3232 0.0267 0.5289
H7 H 0.4193 0.4376 0.8694
H8 H 0.4442 0.1394 0.4253
C1 C 0.3263 0.4828 0.7130
C2 C 0.3558 0.0144 0.2838
O1 O 0.0213 0.0668 0.4064
O2 O 0.2317 0.0867 0.8057
O3 O 0.2346 0.3764 0.6647
O4 O 0.2436 0.0523 0.0571
O5 O 0.2772 0.4803 0.7790
O6 O 0.2874 0.4457 0.0358
O7 O 0.4012 0.0112 0.2171
O8 O 0.4464 0.1296 0.3292
O9 O 0.4539 0.4170 0.1936
O10 O 0.4627 0.1547 0.4799
```

Most intense lines, 2θ from 10° to 80°, in order of rising 2θ:
index  2θ/deg  d [Å]  intensity
1 1 -1  17.5  5.061  94.4
1 1 1  18.2  4.882  100.0
0 0 4  19.6  4.531  68.3
1 1 -3  21.9  4.066  51.4
1 1 3  23.4  3.801  43.5
2 2 0  34.7  2.583  33.8
2 2 -2  35.5  2.532  35.2
2 2 4  41.4  2.181  31.5